# Cs2LaNpS4
Simulated X-ray diffraction stick pattern, Cu Kα (λ = 1.5418 Å). Input: the PBE geometry in OQMD.

Cell: 4.230 4.230 16.044 Å, 90.00 90.00 120.00°
Sites, in units of the cell vectors:
1 Cs 0.333 0.667 0.254
2 Cs 0.667 0.333 0.746
3 La 0.000 0.000 0.000
4 Np 0.000 0.000 0.500
5 S 0.333 0.667 0.587
6 S 0.333 0.667 0.903
7 S 0.667 0.333 0.097
8 S 0.667 0.333 0.413

Most intense lines, 2θ from 15° to 90°, by angle:
- 2θ 22.16, I = 34, hkl 0 0 4
- 2θ 24.93, I = 18, hkl 1 0 1
- 2θ 26.75, I = 100, hkl 1 0 2
- 2θ 29.56, I = 44, hkl 0 1 3
- 2θ 33.12, I = 21, hkl 0 1 4
- 2θ 41.82, I = 43, hkl 1 0 6
- 2θ 42.75, I = 37, hkl 1 1 0
- 2θ 48.67, I = 26, hkl 1 1 4
- 2θ 51.15, I = 18, hkl 0 2 2
- 2θ 63.97, I = 15, hkl 1 1 8
- 2θ 68.81, I = 15, hkl 2 1 2
- 2θ 77.65, I = 14, hkl 2 1 6